Simulated powder diffractogram
Compound: VAgHgO4
Radiation: λ = 1.5418 Å (Cu Kα)
Structure: a DFT-relaxed cell (GGA+U, the Materials Project)
Intensities are scaled so that the largest is 100.

Structure:
Lattice parameters (Å, degrees): 10.595 5.584 7.254 90.00 99.07 90.00
Space group C2 (No. 5)
Asymmetric unit:
V (0.187, 0.000, 0.230) (multiplicity 4)
Ag (0.138, 0.986, 0.721) (multiplicity 4)
Hg (0.000, 0.469, 0.500) (multiplicity 2)
Hg (0.000, 0.505, 0.000) (multiplicity 2)
O (0.119, 0.879, 0.408) (multiplicity 4)
O (0.134, 0.850, 0.025) (multiplicity 4)
O (0.139, 0.443, 0.732) (multiplicity 4)
O (0.143, 0.304, 0.212) (multiplicity 4)

Principal peaks in the range 15° ≤ 2θ ≤ 90°, most intense first:
Position (°2θ), d (Å), I (rel.)
32.01, 2.796, 100
30.22, 2.958, 87
27.88, 3.200, 44
29.73, 3.005, 42
16.95, 5.231, 27
18.01, 4.926, 26
42.99, 2.104, 24
56.00, 1.642, 14
39.32, 2.291, 14
56.39, 1.632, 14

Simulated powder diffractogram
Compound: UCrO9
Radiation: λ = 1.5418 Å (Cu Kα)
Structure: a DFT-relaxed cell (GGA+U, the Materials Project)
Intensities are scaled so that the largest is 100.

Structure:
Lattice parameters (Å, degrees): 9.698 7.301 11.946 90.00 90.18 90.00
Space group P2_1 (No. 4)
Asymmetric unit:
U (0.073, 0.000, 0.305) (multiplicity 2)
U (0.342, 0.009, 0.873) (multiplicity 2)
Cr (0.115, 0.518, 0.414) (multiplicity 2)
Cr (0.445, 0.506, 0.857) (multiplicity 2)
O (0.044, 0.710, 0.354) (multiplicity 2)
O (0.051, 0.334, 0.351) (multiplicity 2)
O (0.069, 0.537, 0.794) (multiplicity 2)
O (0.081, 0.520, 0.554) (multiplicity 2)
O (0.129, 0.417, 0.100) (multiplicity 2)
O (0.160, 0.007, 0.901) (multiplicity 2)
O (0.176, 0.911, 0.181) (multiplicity 2)
O (0.189, 0.288, 0.144) (multiplicity 2)
O (0.208, 0.020, 0.411) (multiplicity 2)
O (0.278, 0.527, 0.398) (multiplicity 2)
O (0.315, 0.023, 0.656) (multiplicity 2)
O (0.346, 0.318, 0.881) (multiplicity 2)
O (0.350, 0.699, 0.872) (multiplicity 2)
O (0.362, 0.864, 0.615) (multiplicity 2)
O (0.420, 0.008, 0.053) (multiplicity 2)
O (0.422, 0.870, 0.523) (multiplicity 2)
O (0.481, 0.510, 0.173) (multiplicity 2)
O (0.499, 0.997, 0.269) (multiplicity 2)

Principal peaks in the range 15° ≤ 2θ ≤ 90°, most intense first:
Position (°2θ), d (Å), I (rel.)
19.77, 4.491, 100
16.93, 5.238, 89
17.42, 5.091, 75
24.38, 3.651, 67
15.19, 5.833, 57
23.23, 3.829, 47
31.58, 2.833, 43
24.18, 3.680, 39
30.13, 2.966, 37
25.48, 3.496, 34

Simulated powder diffractogram
Compound: Mn2O3
Radiation: λ = 1.5418 Å (Cu Kα)
Structure: a DFT-relaxed cell (GGA+U, the Materials Project)
Intensities are scaled so that the largest is 100.

Structure:
Lattice parameters (Å, degrees): 5.037 5.039 5.445 64.83 64.80 65.90
Space group P-1 (No. 2)
Asymmetric unit:
Mn (0.152, 0.157, 0.048) (multiplicity 2)
Mn (0.342, 0.348, 0.453) (multiplicity 2)
O (0.030, 0.775, 0.244) (multiplicity 2)
O (0.275, 0.529, 0.744) (multiplicity 2)
O (0.414, 0.085, 0.251) (multiplicity 2)

Principal peaks in the range 15° ≤ 2θ ≤ 90°, most intense first:
Position (°2θ), d (Å), I (rel.)
31.92, 2.804, 100
32.68, 2.740, 72
35.83, 2.506, 69
23.17, 3.838, 52
53.18, 1.722, 47
33.32, 2.689, 45
47.37, 1.919, 44
60.39, 1.533, 42
53.81, 1.704, 39
51.26, 1.782, 35

Simulated powder diffractogram
Compound: Li2CoSiO4
Radiation: λ = 1.5418 Å (Cu Kα)
Structure: a DFT-relaxed cell (GGA+U, the Materials Project)
Intensities are scaled so that the largest is 100.

Structure:
Lattice parameters (Å, degrees): 9.823 4.374 4.374 90.00 116.44 90.00
Space group C2 (No. 5)
Asymmetric unit:
Li (0.250, 0.000, 0.249) (multiplicity 4)
Co (0.000, 0.501, 0.000) (multiplicity 2)
Si (0.000, 0.001, 0.500) (multiplicity 2)
O (0.111, 0.217, 0.828) (multiplicity 4)
O (0.112, 0.784, 0.395) (multiplicity 4)

Principal peaks in the range 15° ≤ 2θ ≤ 90°, most intense first:
Position (°2θ), d (Å), I (rel.)
35.48, 2.530, 100
20.19, 4.398, 67
28.86, 3.093, 44
59.62, 1.551, 32
71.50, 1.320, 19
46.36, 1.958, 16
59.80, 1.547, 15
50.96, 1.792, 15
47.62, 1.910, 12
36.91, 2.435, 10

Simulated powder diffractogram
Compound: Mg2SbWO6
Radiation: λ = 1.5418 Å (Cu Kα)
Structure: a DFT-relaxed cell (GGA+U, the Materials Project)
Intensities are scaled so that the largest is 100.

Structure:
Lattice parameters (Å, degrees): 5.460 5.551 9.691 90.00 124.12 90.00
Space group P2_1/c (No. 14)
Asymmetric unit:
Mg (0.248, 0.021, 0.226) (multiplicity 4)
Sb (0.000, 0.000, 0.500) (multiplicity 2)
W (0.500, 0.000, 0.000) (multiplicity 2)
O (0.132, 0.147, 0.956) (multiplicity 4)
O (0.256, 0.697, 0.901) (multiplicity 4)
O (0.402, 0.126, 0.773) (multiplicity 4)

Principal peaks in the range 15° ≤ 2θ ≤ 90°, most intense first:
Position (°2θ), d (Å), I (rel.)
32.04, 2.794, 100
22.84, 3.893, 70
22.16, 4.011, 40
52.22, 1.752, 25
57.38, 1.606, 25
32.25, 2.776, 23
32.80, 2.730, 23
46.67, 1.946, 22
51.25, 1.783, 19
39.48, 2.283, 15

Simulated powder diffractogram
Compound: Sr3LaMn4O10
Radiation: λ = 1.5418 Å (Cu Kα)
Structure: a DFT-relaxed cell (GGA+U, the Materials Project)
Intensities are scaled so that the largest is 100.

Structure:
Lattice parameters (Å, degrees): 5.624 3.975 10.849 90.00 90.12 90.00
Space group Pm (No. 6)
Asymmetric unit:
Sr (0.000, 0.000, 0.000) (multiplicity 1)
Sr (0.076, 0.000, 0.510) (multiplicity 1)
Sr (0.577, 0.000, 0.739) (multiplicity 1)
La (0.488, 0.000, 0.237) (multiplicity 1)
Mn (0.019, 0.500, 0.251) (multiplicity 1)
Mn (0.054, 0.500, 0.748) (multiplicity 1)
Mn (0.523, 0.500, 0.993) (multiplicity 1)
Mn (0.556, 0.500, 0.492) (multiplicity 1)
O (0.002, 0.000, 0.266) (multiplicity 1)
O (0.084, 0.000, 0.767) (multiplicity 1)
O (0.235, 0.500, 0.096) (multiplicity 1)
O (0.306, 0.500, 0.361) (multiplicity 1)
O (0.336, 0.500, 0.643) (multiplicity 1)
O (0.503, 0.000, 0.985) (multiplicity 1)
O (0.585, 0.000, 0.463) (multiplicity 1)
O (0.714, 0.500, 0.163) (multiplicity 1)
O (0.791, 0.500, 0.873) (multiplicity 1)
O (0.836, 0.500, 0.594) (multiplicity 1)

Principal peaks in the range 15° ≤ 2θ ≤ 90°, most intense first:
Position (°2θ), d (Å), I (rel.)
32.14, 2.785, 100
33.03, 2.712, 28
31.82, 2.812, 26
58.42, 1.580, 19
45.65, 1.987, 19
56.89, 1.618, 14
46.47, 1.954, 14
57.48, 1.603, 13
46.57, 1.950, 13
67.17, 1.394, 11

Simulated powder diffractogram
Compound: Ba2LaCoCu2O7
Radiation: λ = 1.5418 Å (Cu Kα)
Structure: a DFT-relaxed cell (GGA+U, the Materials Project)
Intensities are scaled so that the largest is 100.

Structure:
Lattice parameters (Å, degrees): 3.933 3.961 12.007 90.00 90.00 90.00
Space group Pmmm (No. 47)
Asymmetric unit:
Ba (0.000, 0.000, 0.183) (multiplicity 2)
La (0.000, 0.000, 0.500) (multiplicity 1)
Co (0.500, 0.500, 0.000) (multiplicity 1)
Cu (0.500, 0.500, 0.354) (multiplicity 2)
O (0.000, 0.500, 0.369) (multiplicity 2)
O (0.500, 0.000, 0.000) (multiplicity 1)
O (0.500, 0.000, 0.369) (multiplicity 2)
O (0.500, 0.500, 0.150) (multiplicity 2)

Principal peaks in the range 15° ≤ 2θ ≤ 90°, most intense first:
Position (°2θ), d (Å), I (rel.)
31.90, 2.805, 100
32.07, 2.791, 94
31.78, 2.815, 89
56.91, 1.618, 37
57.14, 1.612, 33
56.59, 1.626, 31
39.36, 2.289, 31
45.81, 1.981, 28
46.16, 1.966, 28
45.32, 2.001, 19

Simulated powder diffractogram
Compound: NaFe2O4
Radiation: λ = 1.5418 Å (Cu Kα)
Structure: a DFT-relaxed cell (GGA+U, the Materials Project)
Intensities are scaled so that the largest is 100.

Structure:
Lattice parameters (Å, degrees): 3.038 5.127 5.861 106.16 90.85 91.48
Space group P-1 (No. 2)
Asymmetric unit:
Na (0.000, 0.000, 0.000) (multiplicity 1)
Fe (0.000, 0.500, 0.500) (multiplicity 1)
Fe (0.500, 0.000, 0.500) (multiplicity 1)
O (0.033, 0.781, 0.315) (multiplicity 2)
O (0.491, 0.258, 0.315) (multiplicity 2)

Principal peaks in the range 15° ≤ 2θ ≤ 90°, most intense first:
Position (°2θ), d (Å), I (rel.)
15.75, 5.628, 100
39.76, 2.267, 24
41.20, 2.191, 21
41.47, 2.178, 20
31.80, 2.814, 11
34.21, 2.621, 8
63.11, 1.473, 7
55.90, 1.645, 6
56.09, 1.640, 6
61.04, 1.518, 6

Simulated powder diffractogram
Compound: Li4VTe3O12
Radiation: λ = 1.5418 Å (Cu Kα)
Structure: a DFT-relaxed cell (GGA+U, the Materials Project)
Intensities are scaled so that the largest is 100.

Structure:
Lattice parameters (Å, degrees): 5.216 5.630 7.753 84.48 89.88 89.66
Space group P1 (No. 1)
Asymmetric unit:
Li (0.000, 0.000, 0.000) (multiplicity 1)
Li (0.001, 0.991, 0.511) (multiplicity 1)
Li (0.497, 0.456, 0.988) (multiplicity 1)
Li (0.505, 0.488, 0.514) (multiplicity 1)
V (0.502, 0.053, 0.769) (multiplicity 1)
Te (0.008, 0.538, 0.789) (multiplicity 1)
Te (0.494, 0.070, 0.288) (multiplicity 1)
Te (0.999, 0.564, 0.288) (multiplicity 1)
O (0.118, 0.599, 0.041) (multiplicity 1)
O (0.203, 0.260, 0.379) (multiplicity 1)
O (0.204, 0.944, 0.733) (multiplicity 1)
O (0.319, 0.779, 0.376) (multiplicity 1)
O (0.343, 0.398, 0.748) (multiplicity 1)
O (0.360, 0.108, 0.059) (multiplicity 1)
O (0.630, 0.091, 0.542) (multiplicity 1)
O (0.659, 0.806, 0.864) (multiplicity 1)
O (0.663, 0.391, 0.239) (multiplicity 1)
O (0.806, 0.263, 0.864) (multiplicity 1)
O (0.817, 0.914, 0.238) (multiplicity 1)
O (0.881, 0.586, 0.536) (multiplicity 1)

Principal peaks in the range 15° ≤ 2θ ≤ 90°, most intense first:
Position (°2θ), d (Å), I (rel.)
23.05, 3.858, 100
23.23, 3.829, 100
23.37, 3.807, 97
31.94, 2.802, 81
34.10, 2.629, 46
31.81, 2.814, 39
41.81, 2.161, 28
51.88, 1.762, 26
34.39, 2.608, 25
55.18, 1.665, 24